[1]
Diffraction record for KNaTi4P6O24. The powder XRD pattern is simulated, not measured: it uses a DFT-relaxed cell (PBE, Alexandria) and Cu Kα.
Intensities are scaled so that the largest is 100.

Most intense lines, 10 to 90 degrees two-theta, low angle first:
(0 1 2), 2θ 14.27, I 15; (1 0 4), 2θ 19.68, I 16; (1 1 0), 2θ 20.77, I 40; (1 1 3), 2θ 23.89, I 100; (0 2 4), 2θ 28.77, I 23; (2 -1 6), 2θ 31.53, I 60; (3 0 0), 2θ 36.39, I 16; (2 2 6), 2θ 48.90, I 20

Crystal structure
Cell lengths 8.5519, 8.5519, 22.7560 Å; angles 90.00, 90.00, 120.00 degrees
Space group R-3 (No. 148, hexagonal axes)
One atom of each set of equivalent atoms:
K 0.0000 0.0000 0.0000 [3 per cell]
Na 0.0000 0.0000 0.5000 [3 per cell]
Ti 0.0000 0.0000 0.1481 [6 per cell]
Ti 0.0000 0.0000 0.3534 [6 per cell]
P 0.0026 0.2856 0.2494 [18 per cell]
O 0.0164 0.8287 0.4084 [18 per cell]
O 0.0276 0.8277 0.6943 [18 per cell]
O 0.0422 0.2033 0.9042 [18 per cell]
O 0.0502 0.2058 0.1961 [18 per cell]


[2]
Diffraction record for NaCaAgPb. The powder XRD pattern is simulated, not measured: it uses a DFT-relaxed cell (PBE, Alexandria) and Cu Kα.
Intensities are scaled so that the largest is 100.

Most intense lines, 10 to 90 degrees two-theta, low angle first:
(0 0 2), 2θ 20.41, I 34; (1 0 1), 2θ 20.77, I 17; (1 1 0), 2θ 25.66, I 40; (1 1 2), 2θ 33.01, I 100; (2 0 0), 2θ 36.61, I 38; (2 0 2), 2θ 42.27, I 22; (2 0 4), 2θ 56.52, I 21; (3 1 2), 2θ 63.63, I 29

Crystal structure
Cell lengths 4.910, 4.910, 8.702 Å; angles 90.00, 90.00, 90.00 degrees
Space group I-4m2 (No. 119)
One atom of each set of equivalent atoms:
Na 0.000 0.000 0.000 [2 per cell]
Ca 0.000 0.000 0.500 [2 per cell]
Ag 0.000 0.500 0.250 [2 per cell]
Pb 0.000 0.500 0.750 [2 per cell]


[3]
Diffraction record for ReBiB2Mo. The powder XRD pattern is simulated, not measured: it uses a DFT-relaxed cell (PBE, Alexandria) and Cu Kα.
Intensities are scaled so that the largest is 100.

Most intense lines, 10 to 90 degrees two-theta, low angle first:
(0 0 1), 2θ 15.89, I 74; (1 1 0), 2θ 30.37, I 100; (0 0 2), 2θ 32.10, I 50; (1 1 1), 2θ 34.46, I 62; (2 0 0), 2θ 43.48, I 43; (1 1 2), 2θ 44.77, I 71; (2 0 2), 2θ 55.06, I 43; (3 1 2), 2θ 80.73, I 26

Crystal structure
Cell lengths 4.162, 4.162, 5.577 Å; angles 90.00, 90.00, 90.00 degrees
Space group P4/mmm (No. 123)
One atom of each set of equivalent atoms:
Re 0.000 0.000 0.000 [1 per cell]
Bi 0.500 0.500 0.000 [1 per cell]
B 0.000 0.500 0.500 [2 per cell]
Mo 0.500 0.500 0.500 [1 per cell]


[4]
Diffraction record for Th4IrPt3. The powder XRD pattern is simulated, not measured: it uses a DFT-relaxed cell (PBE, Alexandria) and Cu Kα.
Intensities are scaled so that the largest is 100.

Most intense lines, 10 to 90 degrees two-theta, low angle first:
(1 1 2), 2θ 26.10, I 1; (2 0 0), 2θ 30.23, I 100; (2 2 0), 2θ 43.27, I 77; (3 1 2), 2θ 51.24, I 1; (2 2 4), 2θ 53.69, I 27; (4 0 0), 2θ 62.86, I 13; (4 2 0), 2θ 71.33, I 36; (4 2 4), 2θ 79.38, I 27

Crystal structure
Cell lengths 5.914, 5.914, 11.826 Å; angles 90.00, 90.00, 90.00 degrees
Space group I4/mmm (No. 139)
One atom of each set of equivalent atoms:
Th 0.000 0.000 0.245 [4 per cell]
Th 0.000 0.500 0.000 [4 per cell]
Ir 0.000 0.000 0.000 [2 per cell]
Pt 0.000 0.000 0.500 [2 per cell]
Pt 0.000 0.500 0.250 [4 per cell]


[5]
Diffraction record for La2Er5Bi3C2. The powder XRD pattern is simulated, not measured: it uses a DFT-relaxed cell (PBE, Alexandria) and Cu Kα.
Intensities are scaled so that the largest is 100.

Most intense lines, 10 to 90 degrees two-theta, low angle first:
(1 1 4), 2θ 29.26, I 30; (1 1 6), 2θ 33.02, I 100; (0 0 10), 2θ 33.86, I 15; (2 0 0), 2θ 36.96, I 49; (2 0 10), 2θ 50.99, I 19; (2 2 0), 2θ 53.27, I 17; (1 1 16), 2θ 62.27, I 14; (3 1 6), 2θ 64.12, I 30

Crystal structure
Cell lengths 4.864, 4.864, 26.473 Å; angles 90.00, 90.00, 90.00 degrees
Space group I4/mmm (No. 139)
One atom of each set of equivalent atoms:
La 0.000 0.000 0.193 [4 per cell]
Er 0.000 0.000 0.000 [2 per cell]
Er 0.000 0.500 0.091 [8 per cell]
Bi 0.000 0.000 0.324 [4 per cell]
Bi 0.000 0.000 0.500 [2 per cell]
C 0.000 0.000 0.092 [4 per cell]


[6]
Diffraction record for Ac2Nd5Er6. The powder XRD pattern is simulated, not measured: it uses a DFT-relaxed cell (PBE, Alexandria) and Cu Kα.
Intensities are scaled so that the largest is 100.

Most intense lines, 10 to 90 degrees two-theta, low angle first:
(1 6 0), 2θ 26.92, I 27; (4 1 0), 2θ 30.16, I 61; (1 4 1), 2θ 30.85, I 40; (3 5 0), 2θ 31.14, I 36; (1 7 0), 2θ 31.22, I 59; (2 3 1), 2θ 31.44, I 100; (2 4 1), 2θ 33.52, I 39; (3 3 1), 2θ 35.74, I 27

Crystal structure
Cell lengths 11.975, 20.653, 3.663 Å; angles 90.00, 90.00, 90.00 degrees
Space group Pbam (No. 55)
One atom of each set of equivalent atoms:
Ac 0.166 0.224 0.000 [4 per cell]
Nd 0.000 0.500 0.500 [2 per cell]
Nd 0.094 0.785 0.500 [4 per cell]
Nd 0.202 0.053 0.500 [4 per cell]
Er 0.062 0.927 0.000 [4 per cell]
Er 0.070 0.639 0.000 [4 per cell]
Er 0.185 0.381 0.500 [4 per cell]


[7]
Diffraction record for BaTiO3. The powder XRD pattern is simulated, not measured: it uses a DFT-relaxed cell (PBE, Alexandria) and Cu Kα.
Intensities are scaled so that the largest is 100.

Most intense lines, 10 to 90 degrees two-theta, low angle first:
(1 0 2), 2θ 25.69, I 85; (1 1 0), 2θ 30.73, I 100; (1 0 3), 2θ 33.27, I 42; (2 0 2), 2θ 40.47, I 59; (2 0 3), 2θ 45.92, I 29; (2 1 2), 2θ 51.66, I 21; (2 1 3), 2θ 56.27, I 20; (2 2 0), 2θ 64.00, I 20

Crystal structure
Cell lengths 5.8189, 5.8189, 9.5581 Å; angles 90.00, 90.00, 120.00 degrees
Space group P6_3/mmc (No. 194)
One atom of each set of equivalent atoms:
Ba 0.0000 0.0000 0.0000 [2 per cell]
Ba 0.3333 0.6667 0.2500 [2 per cell]
Ti 0.3333 0.6667 0.6115 [4 per cell]
O 0.0000 0.5000 0.0000 [6 per cell]
O 0.1851 0.3702 0.7500 [6 per cell]


[8]
Diffraction record for TeH2W. The powder XRD pattern is simulated, not measured: it uses a DFT-relaxed cell (PBE, Alexandria) and Cu Kα.
Intensities are scaled so that the largest is 100.

Most intense lines, 10 to 90 degrees two-theta, low angle first:
(2 0 0), 2θ 31.35, I 81; (1 1 2), 2θ 37.79, I 100; (2 2 0), 2θ 44.92, I 31; (3 1 2), 2θ 60.11, I 52; (2 0 4), 2θ 72.11, I 15; (4 2 0), 2θ 74.33, I 14; (3 3 2), 2θ 78.09, I 12; (2 2 4), 2θ 80.73, I 11

Crystal structure
Cell lengths 5.707, 5.707, 5.897 Å; angles 90.00, 90.00, 90.00 degrees
Space group I-42d (No. 122)
One atom of each set of equivalent atoms:
Te 0.000 0.000 0.000 [4 per cell]
H 0.147 0.750 0.625 [8 per cell]
W 0.000 0.000 0.500 [4 per cell]